Record 1
Structure and calculated powder diffractogram of LiCaMgPt (the GGA-PBE geometry in Alexandria; CuKα).
Peak positions follow from Bragg's law for the DFT cell and can differ from measured ones.

Most intense lines, 15 to 90 degrees two-theta, low angle first:
2θ/deg, d/Å, intensity, (hkl)
22.56, 3.942, 100, 1 1 1
26.10, 3.414, 24, 2 0 0
37.25, 2.414, 84, 2 2 0
43.98, 2.059, 53, 3 1 1
53.70, 1.707, 14, 4 0 0
58.97, 1.566, 23, 3 3 1
60.66, 1.527, 11, 4 2 0
67.17, 1.394, 29, 4 2 2
71.85, 1.314, 17, 5 1 1
83.82, 1.154, 17, 5 3 1

Structural model:
```
data_LiCaMgPt
_space_group_name_H-M_alt 'F -4 3 m'
_space_group_IT_number 216
_space_group_name_Hall 'F -4 2 3'
_cell_length_a 6.828
_cell_length_b 6.828
_cell_length_c 6.828
_cell_angle_alpha 90.00
_cell_angle_beta 90.00
_cell_angle_gamma 90.00
loop_
_atom_site_label
_atom_site_type_symbol
_atom_site_fract_x
_atom_site_fract_y
_atom_site_fract_z
_atom_site_occupancy
Li1 Li 0.000 0.000 0.000 1
Ca1 Ca 0.250 0.250 0.250 1
Mg1 Mg 0.250 0.250 0.750 1
Pt1 Pt 0.000 0.000 0.500 1
```

=====

Record 2
Structure and calculated powder diffractogram of Li2CaMn2N2 (the GGA-PBE geometry in Alexandria; CuKα).
Peak positions follow from Bragg's law for the DFT cell and can differ from measured ones.

Most intense lines, 15 to 90 degrees two-theta, low angle first:
2θ/deg, d/Å, intensity, (hkl)
28.26, 3.158, 100, 2 1 0
29.76, 3.002, 29, 1 1 1
34.88, 2.573, 51, 2 0 1
35.98, 2.496, 22, 2 2 0
37.20, 2.417, 49, 2 1 1
40.40, 2.233, 48, 3 1 0
48.47, 1.878, 20, 0 0 2
53.51, 1.712, 21, 4 1 0
57.05, 1.614, 22, 2 1 2
64.87, 1.437, 20, 3 1 2

Structural model:
```
data_Li2CaMn2N2
_space_group_name_H-M_alt 'P 4/m b m'
_space_group_IT_number 127
_space_group_name_Hall '-P 4 2ab'
_cell_length_a 7.061
_cell_length_b 7.061
_cell_length_c 3.757
_cell_angle_alpha 90.00
_cell_angle_beta 90.00
_cell_angle_gamma 90.00
loop_
_atom_site_label
_atom_site_type_symbol
_atom_site_fract_x
_atom_site_fract_y
_atom_site_fract_z
_atom_site_occupancy
Li1 Li 0.117 0.383 0.000 1
Ca1 Ca 0.000 0.000 0.000 1
Mn1 Mn 0.173 0.673 0.500 1
N1 N 0.176 0.676 0.000 1
```